1.
Theoretical powder X-ray diffraction pattern
Compound: Dy5HoEr7
Radiation: Cu Kα (weighted mean of Kα1 and Kα2)
Structure: the PBE geometry in Alexandria

Atomic structure:
abc: 8.595 8.595 8.595
angles: 134.73 100.25 96.79
Fractional coordinates of all 13 atoms:
Dy 0.000 0.000 0.000
Dy 0.226 0.268 0.495
Dy 0.226 0.731 0.958
Dy 0.773 0.268 0.042
Dy 0.773 0.731 0.505
Ho 0.194 0.694 0.500
Er 0.080 0.250 0.830
Er 0.421 0.250 0.170
Er 0.499 0.499 0.000
Er 0.501 0.001 0.500
Er 0.580 0.749 0.831
Er 0.807 0.307 0.500
Er 0.919 0.749 0.169

Most intense lines, 2θ = 5–70°, in order of rising 2θ:
26.98 deg, intensity 27; 27.78 deg, intensity 31; 31.31 deg, intensity 100; 31.57 deg, intensity 58; 31.98 deg, intensity 82; 35.34 deg, intensity 78; 36.20 deg, intensity 27; 55.59 deg, intensity 26; 57.39 deg, intensity 26; 58.41 deg, intensity 32



2.
Theoretical powder X-ray diffraction pattern
Compound: Dy15Ho4Er
Radiation: Cu Kα (weighted mean of Kα1 and Kα2)
Structure: the PBE geometry in Alexandria

Atomic structure:
abc: 4.992 4.992 24.954
angles: 90.00 90.00 90.00
Fractional coordinates of all 20 atoms:
Dy 0.000 0.000 0.000
Dy 0.000 0.000 0.200
Dy 0.000 0.000 0.400
Dy 0.000 0.000 0.600
Dy 0.000 0.000 0.800
Dy 0.000 0.500 0.100
Dy 0.000 0.500 0.300
Dy 0.000 0.500 0.500
Dy 0.000 0.500 0.700
Dy 0.000 0.500 0.900
Dy 0.500 0.000 0.100
Dy 0.500 0.000 0.300
Dy 0.500 0.000 0.500
Dy 0.500 0.000 0.700
Dy 0.500 0.000 0.900
Ho 0.500 0.500 0.200
Ho 0.500 0.500 0.400
Ho 0.500 0.500 0.600
Ho 0.500 0.500 0.800
Er 0.500 0.500 0.000

Most intense lines, 2θ = 5–70°, in order of rising 2θ:
31.03 deg, intensity 100; 35.98 deg, intensity 51; 51.80 deg, intensity 36; 61.63 deg, intensity 43; 64.69 deg, intensity 12



3.
Theoretical powder X-ray diffraction pattern
Compound: Dy5HoEr4
Radiation: Cu Kα (weighted mean of Kα1 and Kα2)
Structure: the PBE geometry in Alexandria

Atomic structure:
abc: 7.788 7.788 7.788
angles: 99.26 99.26 132.70
Fractional coordinates of all 10 atoms:
Dy 0.000 0.000 0.000
Dy 0.039 0.416 0.913
Dy 0.125 0.039 0.622
Dy 0.416 0.503 0.378
Dy 0.503 0.125 0.087
Ho 0.541 0.541 0.000
Er 0.116 0.722 0.298
Er 0.424 0.818 0.702
Er 0.722 0.424 0.606
Er 0.818 0.116 0.394

Most intense lines, 2θ = 5–70°, in order of rising 2θ:
27.97 deg, intensity 62; 28.57 deg, intensity 30; 30.18 deg, intensity 100; 31.25 deg, intensity 38; 33.74 deg, intensity 24; 35.14 deg, intensity 54; 37.83 deg, intensity 24; 39.55 deg, intensity 23; 40.41 deg, intensity 35; 57.49 deg, intensity 21



4.
Theoretical powder X-ray diffraction pattern
Compound: Dy3Ho4Er5
Radiation: Cu Kα (weighted mean of Kα1 and Kα2)
Structure: the PBE geometry in Alexandria

Atomic structure:
abc: 6.080 7.030 8.595
angles: 89.97 89.91 89.90
Fractional coordinates of all 12 atoms:
Dy 0.000 0.000 0.000
Dy 0.167 0.250 0.333
Dy 0.833 0.750 0.667
Ho 0.167 0.750 0.333
Ho 0.333 0.500 0.667
Ho 0.667 0.500 0.333
Ho 0.833 0.250 0.667
Er 0.000 0.500 0.000
Er 0.333 0.000 0.667
Er 0.500 0.250 0.000
Er 0.500 0.750 0.000
Er 0.667 0.000 0.333

Most intense lines, 2θ = 5–70°, in order of rising 2θ:
31.20 deg, intensity 100; 36.18 deg, intensity 51; 52.08 deg, intensity 30; 52.16 deg, intensity 6; 61.96 deg, intensity 32; 62.04 deg, intensity 11; 64.95 deg, intensity 3; 65.10 deg, intensity 9



5.
Theoretical powder X-ray diffraction pattern
Compound: Dy4HoEr5
Radiation: Cu Kα (weighted mean of Kα1 and Kα2)
Structure: the PBE geometry in Alexandria

Atomic structure:
abc: 3.524 6.697 13.760
angles: 97.62 90.59 104.92
Fractional coordinates of all 10 atoms:
Dy 0.133 0.208 0.307
Dy 0.167 0.324 0.712
Dy 0.833 0.676 0.288
Dy 0.867 0.792 0.693
Ho 0.000 0.500 0.500
Er 0.190 0.376 0.084
Er 0.468 0.920 0.114
Er 0.500 0.000 0.500
Er 0.532 0.080 0.886
Er 0.810 0.624 0.916

Most intense lines, 2θ = 5–70°, in order of rising 2θ:
29.74 deg, intensity 34; 31.85 deg, intensity 66; 32.14 deg, intensity 21; 32.50 deg, intensity 100; 32.87 deg, intensity 99; 33.03 deg, intensity 19; 49.55 deg, intensity 17; 56.92 deg, intensity 22; 57.64 deg, intensity 19; 62.54 deg, intensity 21



6.
Theoretical powder X-ray diffraction pattern
Compound: Dy9Ho4Er11
Radiation: Cu Kα (weighted mean of Kα1 and Kα2)
Structure: the PBE geometry in Alexandria

Atomic structure:
abc: 14.931 14.931 3.630
angles: 90.00 90.00 112.93
Fractional coordinates of all 24 atoms:
Dy 0.000 0.000 0.000
Dy 0.132 0.664 0.000
Dy 0.286 0.432 0.000
Dy 0.336 0.868 0.000
Dy 0.432 0.286 0.000
Dy 0.568 0.714 0.000
Dy 0.664 0.132 0.000
Dy 0.714 0.568 0.000
Dy 0.868 0.336 0.000
Ho 0.054 0.256 0.000
Ho 0.256 0.054 0.000
Ho 0.744 0.946 0.000
Ho 0.946 0.744 0.000
Er 0.093 0.455 0.500
Er 0.133 0.867 0.500
Er 0.208 0.208 0.500
Er 0.340 0.660 0.500
Er 0.455 0.093 0.500
Er 0.500 0.500 0.500
Er 0.545 0.907 0.500
Er 0.660 0.340 0.500
Er 0.792 0.792 0.500
Er 0.867 0.133 0.500
Er 0.907 0.545 0.500

Most intense lines, 2θ = 5–70°, in order of rising 2θ:
29.13 deg, intensity 7; 30.55 deg, intensity 61; 31.44 deg, intensity 15; 32.83 deg, intensity 100; 33.38 deg, intensity 8; 34.64 deg, intensity 8; 50.28 deg, intensity 12; 55.88 deg, intensity 7; 60.00 deg, intensity 15; 61.72 deg, intensity 9



Repeat the sixth record exactly.
Theoretical powder X-ray diffraction pattern
Compound: Dy9Ho4Er11
Radiation: Cu Kα (weighted mean of Kα1 and Kα2)
Structure: the PBE geometry in Alexandria

Atomic structure:
abc: 14.931 14.931 3.630
angles: 90.00 90.00 112.93
Fractional coordinates of all 24 atoms:
Dy 0.000 0.000 0.000
Dy 0.132 0.664 0.000
Dy 0.286 0.432 0.000
Dy 0.336 0.868 0.000
Dy 0.432 0.286 0.000
Dy 0.568 0.714 0.000
Dy 0.664 0.132 0.000
Dy 0.714 0.568 0.000
Dy 0.868 0.336 0.000
Ho 0.054 0.256 0.000
Ho 0.256 0.054 0.000
Ho 0.744 0.946 0.000
Ho 0.946 0.744 0.000
Er 0.093 0.455 0.500
Er 0.133 0.867 0.500
Er 0.208 0.208 0.500
Er 0.340 0.660 0.500
Er 0.455 0.093 0.500
Er 0.500 0.500 0.500
Er 0.545 0.907 0.500
Er 0.660 0.340 0.500
Er 0.792 0.792 0.500
Er 0.867 0.133 0.500
Er 0.907 0.545 0.500

Most intense lines, 2θ = 5–70°, in order of rising 2θ:
29.13 deg, intensity 7; 30.55 deg, intensity 61; 31.44 deg, intensity 15; 32.83 deg, intensity 100; 33.38 deg, intensity 8; 34.64 deg, intensity 8; 50.28 deg, intensity 12; 55.88 deg, intensity 7; 60.00 deg, intensity 15; 61.72 deg, intensity 9